1.
This entry pairs a crystal structure of NaMg6Cr with its simulated powder XRD pattern. Radiation: Cu Kα (weighted mean of Kα1 and Kα2). Structure: a structure optimized by DFT (GGA-PBE).

Principal peaks in the range 2θ from 10° to 90°, low angle first:
| h k l | 2theta | intensity |
| --- | --- | --- |
| 0 0 2 | 16.05 | 14 |
| 0 0 4 | 32.34 | 14 |
| 0 2 2 | 32.46 | 23 |
| 2 0 0 | 34.55 | 39 |
| 1 0 4 | 36.80 | 46 |
| 1 2 2 | 36.90 | 100 |
| 2 0 4 | 48.10 | 23 |
| 0 2 6 | 57.76 | 16 |
| 3 2 2 | 63.45 | 19 |
| 2 2 6 | 69.08 | 18 |

a b c (Å): 5.192 6.363 11.071
angles (deg): 90.00 90.00 90.00
Space group Amm2 (No. 38)
Asymmetric unit:
Na (0.000, 0.000, 0.000) [2 per cell]
Mg (0.000, 0.000, 0.501) [2 per cell]
Mg (0.000, 0.242, 0.755) [4 per cell]
Mg (0.500, 0.000, 0.334) [2 per cell]
Mg (0.500, 0.247, 0.586) [4 per cell]
Cr (0.500, 0.000, 0.828) [2 per cell]

2.
This entry pairs a crystal structure of NaMg14Cr with its simulated powder XRD pattern. Radiation: Cu Kα (weighted mean of Kα1 and Kα2). Structure: a structure optimized by DFT (GGA-PBE).

Principal peaks in the range 2θ from 10° to 90°, low angle first:
| h k l | 2theta | intensity |
| --- | --- | --- |
| 1 0 1 | 18.19 | 4 |
| 2 0 0 | 32.26 | 25 |
| 0 0 4 | 35.14 | 25 |
| 2 0 2 | 36.86 | 100 |
| 2 0 4 | 48.43 | 15 |
| 2 2 0 | 57.52 | 17 |
| 2 0 6 | 64.17 | 18 |
| 2 2 4 | 69.22 | 19 |
| 4 0 2 | 70.30 | 13 |
| 4 0 4 | 78.43 | 3 |

a b c (Å): 6.4093 6.4093 10.2165
angles (deg): 90.00 90.00 120.00
Space group P-6m2 (No. 187)
Asymmetric unit:
Na (0.0000, 0.0000, 0.0000) [1 per cell]
Mg (0.0014, 0.5007, 0.5000) [3 per cell]
Mg (0.0021, 0.5010, 0.0000) [3 per cell]
Mg (0.1660, 0.3319, 0.2563) [6 per cell]
Mg (0.6667, 0.3333, 0.2475) [2 per cell]
Cr (0.0000, 0.0000, 0.5000) [1 per cell]

3.
This entry pairs a crystal structure of NaMg6Cr with its simulated powder XRD pattern. Radiation: Cu Kα (weighted mean of Kα1 and Kα2). Structure: a structure optimized by DFT (GGA-PBE).

Principal peaks in the range 2θ from 10° to 90°, low angle first:
| h k l | 2theta | intensity |
| --- | --- | --- |
| 0 2 2 | 32.28 | 25 |
| 0 0 4 | 32.62 | 12 |
| 2 0 0 | 34.93 | 39 |
| 1 2 2 | 36.83 | 100 |
| 1 0 4 | 37.13 | 49 |
| 2 2 2 | 48.29 | 15 |
| 0 2 6 | 57.99 | 16 |
| 3 2 2 | 63.89 | 18 |
| 2 2 6 | 69.52 | 18 |
| 1 4 4 | 70.32 | 13 |

a b c (Å): 5.137 6.427 10.981
angles (deg): 90.00 90.00 90.00
Space group Amm2 (No. 38)
Asymmetric unit:
Na (0.000, 0.000, 0.000) [2 per cell]
Mg (0.000, 0.250, 0.249) [4 per cell]
Mg (0.500, 0.000, 0.337) [2 per cell]
Mg (0.500, 0.000, 0.830) [2 per cell]
Mg (0.500, 0.239, 0.581) [4 per cell]
Cr (0.000, 0.000, 0.500) [2 per cell]

4.
This entry pairs a crystal structure of Mg6CrNi with its simulated powder XRD pattern. Radiation: Cu Kα (weighted mean of Kα1 and Kα2). Structure: a structure optimized by DFT (GGA-PBE).

Principal peaks in the range 2θ from 10° to 90°, low angle first:
| h k l | 2theta | intensity |
| --- | --- | --- |
| 0 0 2 | 16.93 | 15 |
| 1 0 0 | 18.40 | 9 |
| 0 2 2 | 34.20 | 29 |
| 2 0 0 | 37.29 | 25 |
| 1 0 4 | 39.11 | 100 |
| 2 2 2 | 51.49 | 17 |
| 0 2 6 | 61.29 | 10 |
| 3 0 4 | 68.46 | 17 |
| 2 2 6 | 73.98 | 11 |
| 1 4 4 | 75.02 | 9 |

a b c (Å): 4.823 6.065 10.470
angles (deg): 90.00 90.00 90.00
Space group Amm2 (No. 38)
Asymmetric unit:
Mg (0.000, 0.000, 0.000) [2 per cell]
Mg (0.000, 0.000, 0.496) [2 per cell]
Mg (0.000, 0.245, 0.236) [4 per cell]
Mg (0.500, 0.249, 0.408) [4 per cell]
Cr (0.500, 0.000, 0.658) [2 per cell]
Ni (0.500, 0.000, 0.158) [2 per cell]

5.
This entry pairs a crystal structure of Mg6CrNi with its simulated powder XRD pattern. Radiation: Cu Kα (weighted mean of Kα1 and Kα2). Structure: a structure optimized by DFT (GGA-PBE).

Principal peaks in the range 2θ from 10° to 90°, low angle first:
| h k l | 2theta | intensity |
| --- | --- | --- |
| 0 1 1 | 16.95 | 27 |
| 1 0 2 | 25.06 | 8 |
| 0 2 2 | 34.29 | 25 |
| 2 0 0 | 37.14 | 26 |
| 1 0 4 | 39.15 | 100 |
| 2 2 2 | 51.44 | 15 |
| 0 4 0 | 61.40 | 16 |
| 3 2 2 | 68.29 | 17 |
| 2 4 0 | 73.99 | 17 |
| 1 4 4 | 75.27 | 12 |

a b c (Å): 4.841 6.040 10.462
angles (deg): 90.00 90.00 90.00
Space group Amm2 (No. 38)
Asymmetric unit:
Mg (0.000, 0.000, 0.000) [2 per cell]
Mg (0.000, 0.236, 0.746) [4 per cell]
Mg (0.500, 0.000, 0.168) [2 per cell]
Mg (0.500, 0.242, 0.422) [4 per cell]
Cr (0.000, 0.000, 0.507) [2 per cell]
Ni (0.500, 0.000, 0.664) [2 per cell]

6.
This entry pairs a crystal structure of Mg2Cr3NiS8 with its simulated powder XRD pattern. Radiation: Cu Kα (weighted mean of Kα1 and Kα2). Structure: a structure optimized by DFT (GGA-PBE).

Principal peaks in the range 2θ from 10° to 90°, low angle first:
| h k l | 2theta | intensity |
| --- | --- | --- |
| 1 1 0 | 15.13 | 100 |
| 1 1 1 | 24.83 | 13 |
| 2 2 -1 | 29.20 | 85 |
| 2 2 -2 | 35.35 | 78 |
| 4 0 0 | 35.49 | 39 |
| 1 3 -2 | 46.47 | 41 |
| 4 0 1 | 46.64 | 20 |
| 4 0 -4 | 50.85 | 37 |
| 6 2 -2 | 50.96 | 72 |
| 8 0 -4 | 63.55 | 20 |

a b c (Å): 12.404 7.180 7.183
angles (deg): 90.00 125.35 90.00
Space group C2/m (No. 12)
Asymmetric unit:
Mg (0.125, 0.000, 0.376) [4 per cell]
Cr (0.000, 0.500, 0.500) [2 per cell]
Cr (0.250, 0.250, 0.000) [4 per cell]
Ni (0.000, 0.500, 0.000) [2 per cell]
S (0.014, 0.280, 0.767) [8 per cell]
S (0.232, 0.500, 0.205) [4 per cell]
S (0.237, 0.500, 0.763) [4 per cell]